Entry 1:
Structure and simulated XRD peak list of BaV2F11 (DFT lattice parameters and positions (PBE+U); λ = 1.5418 Å (Cu Kα)).

Structure:
a = 8.3147 Å, b = 10.5402 Å, c = 10.5670 Å
α = 90.00°, β = 90.00°, γ = 90.00°
Space group Ibam (No. 72)
Symmetry-distinct sites (fractional):
Ba: 0.0000 0.0000 0.2500
V: 0.1048 0.3276 0.0000
F: 0.0000 0.5000 0.0000
F: 0.1062 0.2979 0.5000
F: 0.1140 0.1996 0.1203
F: 0.2361 0.4083 0.1170

Largest 8 diffraction maxima, by intensity, 2θ from 15° to 90°:
(1 1 2), 4.106 Å, 2θ = 21.64°, I = 100
(0 2 2), 3.731 Å, 2θ = 23.85°, I = 36
(1 3 4), 2.046 Å, 2θ = 44.27°, I = 27
(2 0 4), 2.228 Å, 2θ = 40.49°, I = 22
(2 1 1), 3.632 Å, 2θ = 24.51°, I = 21
(4 2 0), 1.934 Å, 2θ = 46.99°, I = 21
(1 3 0), 3.236 Å, 2θ = 27.56°, I = 17
(3 3 2), 2.012 Å, 2θ = 45.05°, I = 17

=====

Entry 2:
Structure and simulated XRD peak list of BaV2F (DFT lattice parameters and positions (PBE+U); λ = 1.5418 Å (Cu Kα)).

Structure:
a = 7.0348 Å, b = 7.0348 Å, c = 9.2290 Å
α = 90.00°, β = 90.00°, γ = 90.00°
Space group I4_1/amd (No. 141, origin choice 2)
Symmetry-distinct sites (fractional):
Ba: 0.0000 0.2500 0.3750
V: 0.0000 0.0000 0.0000
F: 0.0000 0.2500 0.8750

Largest 8 diffraction maxima, by intensity, 2θ from 15° to 90°:
(2 1 1), 2.978 Å, 2θ = 30.01°, I = 100
(1 1 2), 3.383 Å, 2θ = 26.34°, I = 97
(2 0 0), 3.517 Å, 2θ = 25.32°, I = 53
(1 0 3), 2.819 Å, 2θ = 31.75°, I = 43
(3 1 2), 2.004 Å, 2θ = 45.25°, I = 43
(2 2 4), 1.692 Å, 2θ = 54.23°, I = 33
(3 2 1), 1.909 Å, 2θ = 47.64°, I = 27
(2 0 2), 2.797 Å, 2θ = 31.99°, I = 26

=====

Entry 3:
Structure and simulated XRD peak list of BaV4F12 (DFT lattice parameters and positions (PBE+U); λ = 1.5418 Å (Cu Kα)).

Structure:
a = 11.5123 Å, b = 8.2496 Å, c = 8.1795 Å
α = 90.00°, β = 134.71°, γ = 90.00°
Space group C2/m (No. 12)
Symmetry-distinct sites (fractional):
Ba: 0.0000 0.0000 0.0000
V: 0.2500 0.2500 0.0000
V: 0.2500 0.2500 0.5000
F: 0.0093 0.2458 0.7692
F: 0.2303 0.0000 0.4643
F: 0.2391 0.0000 0.9963
F: 0.2434 0.2420 0.2340

Largest 8 diffraction maxima, by intensity, 2θ from 15° to 90°:
(0 0 1), 5.810 Å, 2θ = 15.25°, I = 100
(2 2 0), 2.905 Å, 2θ = 30.78°, I = 57
(4 0 -4), 2.045 Å, 2θ = 44.29°, I = 38
(2 2 -1), 3.356 Å, 2θ = 26.56°, I = 30
(4 4 -4), 1.452 Å, 2θ = 64.12°, I = 26
(2 0 -2), 4.090 Å, 2θ = 21.73°, I = 22
(0 4 0), 2.062 Å, 2θ = 43.90°, I = 20
(3 1 -1), 3.333 Å, 2θ = 26.74°, I = 16

=====

Entry 4:
Structure and simulated XRD peak list of Ba2YV2F11 (DFT lattice parameters and positions (PBE+U); λ = 1.5418 Å (Cu Kα)).

Structure:
a = 7.9576 Å, b = 7.9576 Å, c = 14.0074 Å
α = 90.00°, β = 90.00°, γ = 120.00°
Space group P3_2 (No. 145)
Symmetry-distinct sites (fractional):
Ba: 0.1226 0.0256 0.0000
Ba: 0.2385 0.5106 0.2175
Y: 0.5561 0.2287 0.7849
V: 0.0426 0.7275 0.7799
V: 0.4430 0.0548 0.2781
F: 0.1083 0.6891 0.9217
F: 0.1388 0.0314 0.5031
F: 0.1702 0.8193 0.2427
F: 0.2477 0.0322 0.7376
F: 0.2602 0.6767 0.7338
F: 0.2850 0.2022 0.3110
F: 0.3724 0.3492 0.0894
F: 0.4198 0.0447 0.9055
F: 0.4968 0.0496 0.4280
F: 0.5298 0.1192 0.1294
F: 0.5892 0.2761 0.6224

Largest 8 diffraction maxima, by intensity, 2θ from 15° to 90°:
(1 0 3), 3.865 Å, 2θ = 23.01°, I = 100
(1 1 2), 3.460 Å, 2θ = 25.75°, I = 70
(0 2 1), 3.346 Å, 2θ = 26.64°, I = 64
(0 1 6), 2.211 Å, 2θ = 40.81°, I = 46
(2 -1 1), 3.827 Å, 2θ = 23.24°, I = 39
(3 -2 4), 2.090 Å, 2θ = 43.29°, I = 36
(0 1 4), 3.122 Å, 2θ = 28.59°, I = 36
(2 1 5), 1.908 Å, 2θ = 47.67°, I = 33

=====

Entry 5:
Structure and simulated XRD peak list of BaWF7 (DFT lattice parameters and positions (PBE+U); λ = 1.5418 Å (Cu Kα)).

Structure:
a = 5.7047 Å, b = 10.1032 Å, c = 10.5714 Å
α = 90.00°, β = 92.84°, γ = 90.00°
Space group P2_1/c (No. 14)
Symmetry-distinct sites (fractional):
Ba: 0.1880 0.1703 0.0130
W: 0.3322 0.5998 0.1876
F: 0.0617 0.6889 0.2486
F: 0.1010 0.5408 0.6170
F: 0.1751 0.0588 0.6251
F: 0.2601 0.6950 0.0281
F: 0.3902 0.0273 0.3765
F: 0.3967 0.5307 0.3606
F: 0.4684 0.2491 0.2561

Largest 8 diffraction maxima, by intensity, 2θ from 15° to 90°:
(0 2 1), 4.558 Å, 2θ = 19.47°, I = 100
(1 2 -1), 3.596 Å, 2θ = 24.76°, I = 86
(1 1 1), 4.419 Å, 2θ = 20.10°, I = 84
(1 0 -2), 3.972 Å, 2θ = 22.38°, I = 68
(1 1 2), 3.540 Å, 2θ = 25.15°, I = 61
(0 1 3), 3.324 Å, 2θ = 26.82°, I = 46
(1 2 5), 1.818 Å, 2θ = 50.17°, I = 28
(2 2 3), 1.987 Å, 2θ = 45.66°, I = 24